Diffraction record for Pr4FeS7. The powder diffractogram is calculated, not measured: it uses a DFT-relaxed cell (PBE, OQMD) and Cu Kα.
Lines closer than 0.1° are merged.

Most intense lines, 10 to 80 degrees two-theta, in order of rising 2θ:
2theta	d [Å]	I_rel	index
24.30	3.662	100	0 1 2
24.54	3.628	97	2 1 0
24.64	3.613	44	2 1 -2
25.83	3.450	42	0 2 0
33.46	2.678	77	2 2 -2
33.71	2.658	29	0 1 3
36.09	2.489	40	2 0 2
36.31	2.474	27	2 0 -4
44.65	2.029	37	0 3 2
44.79	2.024	44	2 3 0

Cell lengths 9.7704, 6.8994, 9.8997 Å; angles 90.00, 119.19, 90.00 degrees
Atoms (fractional coordinates):
1 Pr 0.1264 0.0000 0.3004
2 Pr 0.1262 0.0237 0.8573
3 Pr 0.2884 0.4569 0.6661
4 Pr 0.3496 0.4870 0.1221
5 Pr 0.6504 0.9870 0.8779
6 Pr 0.7116 0.9569 0.3339
7 Pr 0.8736 0.5000 0.6996
8 Pr 0.8738 0.5237 0.1427
9 Fe 0.4902 0.6984 0.4854
10 Fe 0.5098 0.1984 0.5146
11 S 0.0150 0.2196 0.5825
12 S 0.0422 0.3026 0.9997
13 S 0.1760 0.6490 0.8279
14 S 0.2738 0.3856 0.3763
15 S 0.3722 0.8817 0.6000
16 S 0.3852 0.8793 0.2521
17 S 0.4082 0.2083 0.9409
18 S 0.5918 0.7083 0.0591
19 S 0.6148 0.3793 0.7479
20 S 0.6278 0.3817 0.4000
21 S 0.7262 0.8856 0.6237
22 S 0.8240 0.1490 0.1721
23 S 0.9578 0.8026 0.0003
24 S 0.9850 0.7196 0.4175